Diffraction record for Sr2Pb2Se3Br2. The powder diffraction line list is theoretical, not measured: it uses the GGA-PBE geometry in Alexandria and Cu Kα (λ = 1.5418 Å).

Largest 6 diffraction maxima, low angle first, 2θ = 5–70°:
- 2θ 22.6, intensity 27.4, (0 0 4)
- 2θ 29.6, intensity 100.0, (2 0 0)
- 2θ 32.1, intensity 64.1, (1 0 5)
- 2θ 37.6, intensity 34.2, (2 0 4)
- 2θ 42.4, intensity 37.7, (2 2 0)
- 2θ 44.3, intensity 53.1, (2 1 5)

Structural model:
```
data_Sr2Pb2Se3Br2
_symmetry_space_group_name_H-M 'I 4/m m m'
_symmetry_Int_Tables_number 139
_symmetry_space_group_name_Hall '-I 4 2'
_cell_length_a 6.0303
_cell_length_b 6.0303
_cell_length_c 15.7069
_cell_angle_alpha 90.00
_cell_angle_beta 90.00
_cell_angle_gamma 90.00
loop_
_atom_site_label
_atom_site_fract_x
_atom_site_fract_y
_atom_site_fract_z
_atom_site_occupancy
Sr1 0.0000 0.5000 0.0000 1
Pb1 0.0000 0.0000 0.2123 1
Se1 0.0000 0.0000 0.0000 1
Se2 0.0000 0.5000 0.2500 1
Br1 0.0000 0.0000 0.4013 1
```

=====

Diffraction record for BeAlVRe. The powder diffraction line list is theoretical, not measured: it uses the GGA-PBE geometry in Alexandria and Cu Kα (λ = 1.5418 Å).

Largest 6 diffraction maxima, low angle first, 2θ = 5–70°:
- 2θ 26.1, intensity 100.0, (1 1 1)
- 2θ 30.2, intensity 20.2, (2 0 0)
- 2θ 43.2, intensity 87.1, (2 2 0)
- 2θ 51.1, intensity 49.0, (3 1 1)
- 2θ 62.7, intensity 14.2, (4 0 0)
- 2θ 69.1, intensity 20.0, (3 3 1)

Structural model:
```
data_BeAlVRe
_symmetry_space_group_name_H-M 'F -4 3 m'
_symmetry_Int_Tables_number 216
_symmetry_space_group_name_Hall 'F -4 2 3'
_cell_length_a 5.9243
_cell_length_b 5.9243
_cell_length_c 5.9243
_cell_angle_alpha 90.00
_cell_angle_beta 90.00
_cell_angle_gamma 90.00
loop_
_atom_site_label
_atom_site_fract_x
_atom_site_fract_y
_atom_site_fract_z
_atom_site_occupancy
Be1 0.0000 0.0000 0.0000 1
Al1 0.2500 0.2500 0.7500 1
V1 0.2500 0.2500 0.2500 1
Re1 0.0000 0.0000 0.5000 1
```

=====

Diffraction record for Th3P3S. The powder diffraction line list is theoretical, not measured: it uses the GGA-PBE geometry in Alexandria and Cu Kα (λ = 1.5418 Å).

Largest 6 diffraction maxima, low angle first, 2θ = 5–70°:
- 2θ 17.9, intensity 35.9, (1 1 0)
- 2θ 18.1, intensity 44.8, (1 0 1)
- 2θ 25.6, intensity 100.0, (0 2 1)
- 2θ 31.4, intensity 33.5, (2 1 1)
- 2θ 36.3, intensity 81.7, (2 2 0)
- 2θ 36.7, intensity 85.2, (2 0 2)

Structural model:
```
data_Th3P3S
_symmetry_space_group_name_H-M 'R 3 m'
_symmetry_Int_Tables_number 160
_symmetry_space_group_name_Hall 'R 3 -2"'
_cell_length_a 9.8923
_cell_length_b 9.8923
_cell_length_c 5.9588
_cell_angle_alpha 90.00
_cell_angle_beta 90.00
_cell_angle_gamma 120.00
loop_
_atom_site_label
_atom_site_fract_x
_atom_site_fract_y
_atom_site_fract_z
_atom_site_occupancy
Th1 0.0253 0.5127 0.0000 1
P1 0.1772 0.3544 0.8156 1
S1 0.0000 0.0000 0.5500 1
```